Calculated powder diffractogram of Tb4Tm3Co4 for λ = 1.5418 Å (Cu Kα), from a GGA-PBE-relaxed structure.

Peak list (10 most intense, 10 to 90 degrees two-theta, by intensity)
two_theta	intensity
32.92	1000
35.72	751
35.24	664
30.50	660
63.82	483
51.39	292
53.85	279
40.45	271
38.47	190
41.63	150

Structural model:
```
Tb4Tm3Co4
1.0
-1.7787 4.3878 7.7687
1.7787 -4.3878 7.7687
1.7787 4.3878 -7.7687
Tb Tm Co
4 3 4
Direct
0.0210 0.8355 0.1855
0.3500 0.1645 0.1855
0.6500 0.8355 0.8145
0.9790 0.1645 0.8145
0.0000 0.5000 0.5000
0.3972 0.3972 0.0000
0.6028 0.6028 0.0000
0.2539 0.7539 0.5000
0.2873 0.0000 0.2873
0.7127 0.0000 0.7127
0.7461 0.2461 0.5000
```

Calculated powder diffractogram of Np2SbO2 for λ = 1.5418 Å (Cu Kα), from a GGA-PBE-relaxed structure.

Peak list (10 most intense, 10 to 90 degrees two-theta, by intensity)
two_theta	intensity
31.64	1000
32.35	446
57.25	382
46.40	208
55.90	186
23.86	132
77.03	131
44.07	97
66.08	92
76.67	82

Structural model:
```
Np2SbO2
1.0
3.9138 0.0000 0.0000
0.0000 3.9138 0.0000
0.0000 0.0000 12.2721
Np Sb O
4 2 4
Direct
0.0000 0.0000 0.1516
0.0000 0.0000 0.8484
0.5000 0.5000 0.3484
0.5000 0.5000 0.6516
0.0000 0.0000 0.5000
0.5000 0.5000 0.0000
0.0000 0.5000 0.2500
0.0000 0.5000 0.7500
0.5000 0.0000 0.2500
0.5000 0.0000 0.7500
```

Calculated powder diffractogram of Er6Tm2In for λ = 1.5418 Å (Cu Kα), from a GGA-PBE-relaxed structure.

Peak list (10 most intense, 10 to 90 degrees two-theta, by intensity)
two_theta	intensity
32.73	1000
33.83	923
32.88	846
30.18	504
35.38	502
34.54	434
31.33	427
51.54	416
27.63	352
33.02	315

Structural model:
```
Er6Tm2In
1.0
6.4837 -6.7215 0.0000
6.4837 6.7215 0.0000
-0.5594 0.0000 6.2628
Er Tm In
12 4 2
Direct
0.0301 0.1716 0.0781
0.0951 0.6901 0.4035
0.1716 0.0301 0.5781
0.1878 0.5351 0.9252
0.3099 0.9049 0.0965
0.4649 0.8122 0.5748
0.5351 0.1878 0.4252
0.6901 0.0951 0.9035
0.8122 0.4649 0.0748
0.8284 0.9699 0.4219
0.9049 0.3099 0.5965
0.9699 0.8284 0.9219
0.2355 0.3634 0.4435
0.3634 0.2355 0.9435
0.6366 0.7645 0.0565
0.7645 0.6366 0.5565
0.4875 0.5125 0.2500
0.5125 0.4875 0.7500
```

Calculated powder diffractogram of TbSiNi3 for λ = 1.5418 Å (Cu Kα), from a GGA-PBE-relaxed structure.

Peak list (10 most intense, 10 to 90 degrees two-theta, by intensity)
two_theta	intensity
40.17	1000
32.72	464
37.45	279
44.40	267
31.48	242
63.46	229
65.72	199
75.37	185
51.91	170
56.23	148

Structural model:
```
TbSiNi3
1.0
5.6836 0.0000 0.0000
-2.8418 4.9221 0.0000
0.0000 0.0000 10.9490
Tb Si Ni
4 4 12
Direct
0.0000 0.0000 0.0000
0.0000 0.0000 0.5000
0.3333 0.6667 0.2500
0.6667 0.3333 0.7500
0.3333 0.6667 0.6389
0.3333 0.6667 0.8611
0.6667 0.3333 0.1389
0.6667 0.3333 0.3611
0.0000 0.5000 0.0000
0.0000 0.5000 0.5000
0.1384 0.2767 0.7500
0.1384 0.8616 0.7500
0.2767 0.1384 0.2500
0.5000 0.0000 0.0000
0.5000 0.0000 0.5000
0.5000 0.5000 0.0000
0.5000 0.5000 0.5000
0.7233 0.8616 0.7500
0.8616 0.1384 0.2500
0.8616 0.7233 0.2500
```